(1)
For Ac4GePdBr2, a GGA-PBE-relaxed structure gives the theoretical XRD peak list in this record (Cu Kα X-rays).

Cell: 7.998 4.439 8.158 Å, 90.00 107.51 90.00°
Atoms (fractional coordinates):
Ac: 0.208 0.000 0.227
Ac: 0.221 0.500 0.740
Ac: 0.779 0.500 0.260
Ac: 0.792 0.000 0.773
Ge: 0.000 0.000 0.500
Pd: 0.000 0.500 0.000
Br: 0.500 0.000 0.000
Br: 0.500 0.500 0.500

Peak list (8 most intense, 2θ from 10° to 90°, sorted by position)
| 2θ/deg | I (rel.) |
| --- | --- |
| 24.3 | 17.1 |
| 27.4 | 100.0 |
| 37.7 | 11.0 |
| 38.9 | 28.2 |
| 39.4 | 21.5 |
| 40.6 | 12.6 |
| 49.7 | 13.8 |
| 63.6 | 12.6 |

(2)
For PaZnPN, a GGA-PBE-relaxed structure gives the theoretical XRD peak list in this record (Cu Kα X-rays).

Cell: 10.384 10.384 10.384 Å, 21.82 21.82 21.82°
Atoms (fractional coordinates):
Pa: 0.121 0.121 0.121
Pa: 0.879 0.879 0.879
Zn: 0.304 0.304 0.304
Zn: 0.696 0.696 0.696
P: 0.388 0.388 0.388
P: 0.612 0.612 0.612
N: 0.194 0.194 0.194
N: 0.806 0.806 0.806

Peak list (8 most intense, 2θ from 10° to 90°, sorted by position)
| 2θ/deg | I (rel.) |
| --- | --- |
| 26.4 | 48.8 |
| 28.7 | 100.0 |
| 30.1 | 68.1 |
| 33.4 | 33.0 |
| 35.4 | 56.9 |
| 46.2 | 57.3 |
| 55.4 | 37.6 |
| 59.5 | 44.3 |

(3)
For Zr6Cd2Pb, a GGA-PBE-relaxed structure gives the theoretical XRD peak list in this record (Cu Kα X-rays).

Cell: 9.672 9.672 4.398 Å, 90.00 90.00 90.00°
Atoms (fractional coordinates):
Zr: 0.000 0.335 0.000
Zr: 0.000 0.665 0.000
Zr: 0.158 0.158 0.500
Zr: 0.165 0.500 0.500
Zr: 0.335 0.000 0.000
Zr: 0.342 0.658 0.000
Zr: 0.500 0.165 0.500
Zr: 0.500 0.835 0.500
Zr: 0.658 0.342 0.000
Zr: 0.665 0.000 0.000
Zr: 0.835 0.500 0.500
Zr: 0.842 0.842 0.500
Cd: 0.178 0.822 0.500
Cd: 0.322 0.322 0.000
Cd: 0.678 0.678 0.000
Cd: 0.822 0.178 0.500
Pb: 0.000 0.000 0.000
Pb: 0.500 0.500 0.500

Peak list (8 most intense, 2θ from 10° to 90°, sorted by position)
| 2θ/deg | I (rel.) |
| --- | --- |
| 34.5 | 100.0 |
| 39.5 | 33.7 |
| 41.0 | 15.6 |
| 57.1 | 10.8 |
| 58.3 | 21.0 |
| 68.5 | 24.5 |
| 70.6 | 11.9 |
| 72.7 | 10.4 |

(4)
For NaTb4HoS8, a GGA-PBE-relaxed structure gives the theoretical XRD peak list in this record (Cu Kα X-rays).

Cell: 8.109 8.109 8.109 Å, 60.19 60.19 60.19°
Atoms (fractional coordinates):
Na: 0.000 0.000 0.000
Tb: 0.111 0.629 0.629
Tb: 0.249 0.249 0.249
Tb: 0.629 0.111 0.629
Tb: 0.629 0.629 0.111
Ho: 0.629 0.629 0.629
S: 0.383 0.383 0.383
S: 0.384 0.384 0.850
S: 0.384 0.850 0.384
S: 0.408 0.862 0.862
S: 0.850 0.384 0.384
S: 0.862 0.408 0.862
S: 0.862 0.862 0.408
S: 0.864 0.864 0.864

Peak list (8 most intense, 2θ from 10° to 90°, sorted by position)
| 2θ/deg | I (rel.) |
| --- | --- |
| 13.4 | 39.5 |
| 25.7 | 100.0 |
| 26.9 | 17.0 |
| 31.2 | 39.5 |
| 40.8 | 46.4 |
| 44.6 | 32.0 |
| 44.7 | 31.8 |
| 82.2 | 14.7 |

(5)
For K2UTe5, a GGA-PBE-relaxed structure gives the theoretical XRD peak list in this record (Cu Kα X-rays).

Cell: 6.849 8.793 11.564 Å, 90.00 90.00 90.00°
Atoms (fractional coordinates):
K: 0.000 0.000 0.000
K: 0.000 0.000 0.465
K: 0.500 0.500 0.500
K: 0.500 0.500 0.965
U: 0.000 0.500 0.256
U: 0.500 0.000 0.756
Te: 0.000 0.500 0.498
Te: 0.228 0.250 0.729
Te: 0.228 0.750 0.729
Te: 0.272 0.250 0.229
Te: 0.272 0.750 0.229
Te: 0.500 0.000 0.998
Te: 0.728 0.250 0.229
Te: 0.728 0.750 0.229
Te: 0.772 0.250 0.729
Te: 0.772 0.750 0.729

Peak list (8 most intense, 2θ from 10° to 90°, sorted by position)
| 2θ/deg | I (rel.) |
| --- | --- |
| 12.6 | 71.1 |
| 15.3 | 91.9 |
| 25.3 | 63.5 |
| 25.5 | 53.1 |
| 30.9 | 51.7 |
| 33.2 | 100.0 |
| 36.7 | 46.6 |
| 46.0 | 73.3 |

(6)
For K3NbP2O9, a GGA-PBE-relaxed structure gives the theoretical XRD peak list in this record (Cu Kα X-rays).

Cell: 5.281 17.990 9.944 Å, 90.00 91.46 90.00°
Atoms (fractional coordinates):
K: 0.247 0.139 0.076
K: 0.247 0.361 0.576
K: 0.248 0.704 0.046
K: 0.248 0.796 0.546
K: 0.251 0.074 0.458
K: 0.251 0.426 0.958
K: 0.749 0.574 0.042
K: 0.749 0.926 0.542
K: 0.752 0.204 0.454
K: 0.752 0.296 0.954
K: 0.753 0.639 0.424
K: 0.753 0.861 0.924
Nb: 0.241 0.588 0.687
Nb: 0.241 0.912 0.187
Nb: 0.759 0.088 0.813
Nb: 0.759 0.412 0.313
P: 0.247 0.209 0.763
P: 0.247 0.291 0.263
P: 0.261 0.539 0.330
P: 0.261 0.961 0.830
P: 0.739 0.039 0.170
P: 0.739 0.461 0.670
P: 0.753 0.709 0.737
P: 0.753 0.791 0.237
O: 0.002 0.678 0.670
O: 0.002 0.822 0.170
O: 0.063 0.024 0.857
O: 0.063 0.476 0.357
O: 0.217 0.572 0.191
O: 0.217 0.928 0.691
O: 0.236 0.199 0.611
O: 0.236 0.301 0.111
O: 0.243 0.579 0.865
O: 0.243 0.921 0.365
O: 0.248 0.596 0.446
O: 0.248 0.904 0.946
O: 0.285 0.211 0.310
O: 0.285 0.289 0.810
O: 0.468 0.160 0.830
O: 0.468 0.340 0.330
O: 0.470 0.001 0.159
O: 0.470 0.499 0.659
O: 0.530 0.501 0.341
O: 0.530 0.999 0.841
O: 0.532 0.660 0.670
O: 0.532 0.840 0.170
O: 0.715 0.711 0.190
O: 0.715 0.789 0.690
O: 0.752 0.096 0.054
O: 0.752 0.404 0.554
O: 0.757 0.079 0.635
O: 0.757 0.421 0.135
O: 0.764 0.699 0.889
O: 0.764 0.801 0.389
O: 0.783 0.072 0.309
O: 0.783 0.428 0.809
O: 0.937 0.524 0.643
O: 0.937 0.976 0.143
O: 0.998 0.178 0.830
O: 0.998 0.322 0.330

Peak list (8 most intense, 2θ from 10° to 90°, sorted by position)
| 2θ/deg | I (rel.) |
| --- | --- |
| 10.2 | 64.0 |
| 13.3 | 82.3 |
| 22.4 | 77.8 |
| 27.4 | 100.0 |
| 28.5 | 98.4 |
| 29.1 | 72.9 |
| 31.5 | 47.9 |
| 34.0 | 77.7 |

(7)
For OsF4, a GGA-PBE-relaxed structure gives the theoretical XRD peak list in this record (Cu Kα X-rays).

Cell: 4.885 5.700 5.846 Å, 61.66 89.89 90.00°
Atoms (fractional coordinates):
Os: 0.000 0.000 0.000
Os: 0.500 0.500 0.000
F: 0.221 0.857 0.300
F: 0.247 0.327 0.848
F: 0.254 0.827 0.848
F: 0.278 0.357 0.300
F: 0.722 0.643 0.700
F: 0.746 0.173 0.152
F: 0.753 0.673 0.152
F: 0.779 0.143 0.700

Peak list (8 most intense, 2θ from 10° to 90°, sorted by position)
| 2θ/deg | I (rel.) |
| --- | --- |
| 17.2 | 100.0 |
| 25.4 | 74.1 |
| 25.6 | 73.2 |
| 31.4 | 20.8 |
| 35.5 | 27.9 |
| 35.8 | 37.8 |
| 52.3 | 24.0 |
| 52.6 | 24.1 |

(8)
For LaTbNd4Sm2, a GGA-PBE-relaxed structure gives the theoretical XRD peak list in this record (Cu Kα X-rays).

Cell: 6.321 3.675 12.173 Å, 90.00 100.27 90.00°
Atoms (fractional coordinates):
La: 0.000 0.000 0.000
Tb: 0.500 0.500 0.000
Nd: 0.250 0.000 0.750
Nd: 0.251 0.500 0.252
Nd: 0.749 0.500 0.748
Nd: 0.750 0.000 0.250
Sm: 0.000 0.500 0.500
Sm: 0.500 0.000 0.500

Peak list (8 most intense, 2θ from 10° to 90°, sorted by position)
| 2θ/deg | I (rel.) |
| --- | --- |
| 29.9 | 100.0 |
| 34.5 | 34.0 |
| 34.8 | 16.7 |
| 49.6 | 12.2 |
| 49.8 | 12.1 |
| 49.9 | 12.0 |
| 59.0 | 21.8 |
| 59.3 | 10.7 |

(9)
For Ca3DyPa3N8, a GGA-PBE-relaxed structure gives the theoretical XRD peak list in this record (Cu Kα X-rays).

Cell: 7.007 7.007 7.007 Å, 60.64 60.64 60.64°
Atoms (fractional coordinates):
Ca: 0.000 0.500 0.500
Ca: 0.500 0.000 0.500
Ca: 0.500 0.500 0.000
Dy: 0.500 0.500 0.500
Pa: 0.000 0.000 0.500
Pa: 0.000 0.500 0.000
Pa: 0.500 0.000 0.000
N: 0.224 0.735 0.735
N: 0.242 0.242 0.242
N: 0.265 0.265 0.776
N: 0.265 0.776 0.265
N: 0.735 0.224 0.735
N: 0.735 0.735 0.224
N: 0.758 0.758 0.758
N: 0.776 0.265 0.265

Peak list (8 most intense, 2θ from 10° to 90°, sorted by position)
| 2θ/deg | I (rel.) |
| --- | --- |
| 15.6 | 100.0 |
| 29.6 | 58.4 |
| 31.0 | 78.4 |
| 31.4 | 26.4 |
| 36.1 | 81.4 |
| 51.7 | 28.9 |
| 52.2 | 26.5 |
| 54.3 | 25.5 |

(10)
For LaErPd4, a GGA-PBE-relaxed structure gives the theoretical XRD peak list in this record (Cu Kα X-rays).

Cell: 10.189 10.189 5.779 Å, 90.00 90.00 155.98°
Atoms (fractional coordinates):
La: 0.220 0.780 0.750
La: 0.780 0.220 0.250
Er: 0.074 0.926 0.250
Er: 0.926 0.074 0.750
Pd: 0.070 0.930 0.750
Pd: 0.357 0.643 0.004
Pd: 0.357 0.643 0.496
Pd: 0.500 0.500 0.000
Pd: 0.500 0.500 0.500
Pd: 0.643 0.357 0.504
Pd: 0.643 0.357 0.996
Pd: 0.930 0.070 0.250

Peak list (8 most intense, 2θ from 10° to 90°, sorted by position)
| 2θ/deg | I (rel.) |
| --- | --- |
| 29.4 | 22.7 |
| 37.9 | 100.0 |
| 38.1 | 100.0 |
| 41.4 | 45.3 |
| 42.6 | 36.7 |
| 48.2 | 24.6 |
| 61.0 | 28.6 |
| 77.4 | 24.5 |

(11)
For Cs2LaSnS4, a GGA-PBE-relaxed structure gives the theoretical XRD peak list in this record (Cu Kα X-rays).

Cell: 8.914 8.914 8.914 Å, 120.61 119.78 89.67°
Atoms (fractional coordinates):
Cs: 0.000 0.000 0.000
Cs: 0.500 0.000 0.000
Cs: 0.500 0.000 0.500
Cs: 0.500 0.500 0.500
La: 0.000 0.000 0.500
La: 0.000 0.500 0.000
Sn: 0.000 0.500 0.500
Sn: 0.500 0.500 0.000
S: 0.187 0.727 0.460
S: 0.233 0.273 0.960
S: 0.234 0.285 0.551
S: 0.234 0.683 0.949
S: 0.766 0.317 0.051
S: 0.766 0.715 0.449
S: 0.767 0.727 0.040
S: 0.813 0.273 0.540

Peak list (8 most intense, 2θ from 10° to 90°, sorted by position)
| 2θ/deg | I (rel.) |
| --- | --- |
| 24.4 | 55.8 |
| 24.6 | 56.2 |
| 28.2 | 51.7 |
| 28.4 | 100.0 |
| 40.5 | 71.9 |
| 47.8 | 33.9 |
| 48.2 | 23.3 |
| 66.2 | 22.2 |

(12)
For Ac3TbCd4, a GGA-PBE-relaxed structure gives the theoretical XRD peak list in this record (Cu Kα X-rays).

Cell: 3.979 3.979 16.130 Å, 90.00 90.00 90.00°
Atoms (fractional coordinates):
Ac: 0.000 0.000 0.000
Ac: 0.000 0.000 0.261
Ac: 0.000 0.000 0.739
Tb: 0.000 0.000 0.500
Cd: 0.500 0.500 0.130
Cd: 0.500 0.500 0.397
Cd: 0.500 0.500 0.603
Cd: 0.500 0.500 0.870

Peak list (8 most intense, 2θ from 10° to 90°, sorted by position)
| 2θ/deg | I (rel.) |
| --- | --- |
| 22.3 | 9.7 |
| 31.6 | 100.0 |
| 31.8 | 53.5 |
| 45.6 | 19.8 |
| 56.1 | 15.2 |
| 56.5 | 38.4 |
| 66.0 | 9.3 |
| 75.6 | 8.9 |